Record 1
For NaPr2O4, a crystal structure in OQMD, relaxed with PBE gives the computed powder X-ray diffraction pattern in this record (a wavelength of 1.5418 Å).
Neutral-atom scattering factors, no anomalous dispersion.

Principal peaks in the range 2θ from 15° to 90°, sorted by position:
2θ/deg	Rel. int.
15.2	100
29.2	84
30.6	48
35.5	53
38.8	20
46.6	36
51.0	47
53.5	22
60.7	25
71.6	18

Structural model:
Lattice parameters (Å, degrees): 7.1612 7.1612 7.1612 60.00 60.00 60.00
Fractional positions:
Na 0.1250 0.1250 0.1250
Na 0.8750 0.8750 0.8750
Pr 0.0000 0.5000 0.5000
Pr 0.5000 0.0000 0.5000
Pr 0.5000 0.5000 0.0000
Pr 0.5000 0.5000 0.5000
O 0.2650 0.2650 0.2650
O 0.2650 0.2650 0.7051
O 0.2650 0.7051 0.2650
O 0.2949 0.7350 0.7350
O 0.7051 0.2650 0.2650
O 0.7350 0.2949 0.7350
O 0.7350 0.7350 0.2949
O 0.7350 0.7350 0.7350

Record 2
For NaPrTeO, a crystal structure in OQMD, relaxed with PBE gives the computed powder X-ray diffraction pattern in this record (a wavelength of 1.5418 Å).
Neutral-atom scattering factors, no anomalous dispersion.

Principal peaks in the range 2θ from 15° to 90°, sorted by position:
2θ/deg	Rel. int.
16.4	24
22.4	37
26.5	40
27.6	83
27.8	100
31.2	49
36.1	28
36.3	28
37.4	49
42.6	33

Structural model:
Lattice parameters (Å, degrees): 7.5886 7.8722 6.8314 90.00 100.59 90.00
Fractional positions:
Na 0.1177 0.2178 0.4847
Na 0.1177 0.2822 0.9847
Na 0.8823 0.7178 0.0153
Na 0.8823 0.7822 0.5153
Pr 0.4524 0.6217 0.7738
Pr 0.4524 0.8783 0.2738
Pr 0.5476 0.1217 0.7262
Pr 0.5476 0.3783 0.2262
Te 0.1881 0.5698 0.3291
Te 0.1881 0.9302 0.8291
Te 0.8119 0.0698 0.1709
Te 0.8119 0.4302 0.6709
O 0.4163 0.1579 0.3963
O 0.4163 0.3421 0.8963
O 0.5837 0.6579 0.1037
O 0.5837 0.8421 0.6037

Record 3
For Na2Pt2O5, a crystal structure in OQMD, relaxed with PBE gives the computed powder X-ray diffraction pattern in this record (a wavelength of 1.5418 Å).
Neutral-atom scattering factors, no anomalous dispersion.

Principal peaks in the range 2θ from 15° to 90°, sorted by position:
2θ/deg	Rel. int.
17.3	100
20.1	16
21.9	19
22.7	16
24.1	18
32.3	24
35.9	44
36.3	18
40.3	32
51.4	19

Structural model:
Lattice parameters (Å, degrees): 5.0367 5.0501 5.8521 65.34 67.19 66.82
Fractional positions:
Na 0.0000 0.0000 0.0000
Na 0.3052 0.2740 0.1597
Pt 0.4936 0.4667 0.5773
Pt 0.8243 0.7972 0.5979
O 0.1085 0.6426 0.8157
O 0.1862 0.5786 0.3841
O 0.4899 0.0473 0.8181
O 0.5886 0.8582 0.3672
O 0.8460 0.2293 0.3690

Record 4
For Na5Pt3O3, a crystal structure in OQMD, relaxed with PBE gives the computed powder X-ray diffraction pattern in this record (a wavelength of 1.5418 Å).
Neutral-atom scattering factors, no anomalous dispersion.

Principal peaks in the range 2θ from 15° to 90°, sorted by position:
2θ/deg	Rel. int.
22.7	18
23.6	100
33.0	92
41.5	33
47.9	20
48.3	15
52.7	23
54.0	20
64.0	18
70.4	19

Structural model:
Lattice parameters (Å, degrees): 7.5314 7.5314 3.9157 90.00 90.00 120.00
Fractional positions:
Na 0.0000 0.7443 0.0000
Na 0.2557 0.2557 0.0000
Na 0.3333 0.6667 0.0000
Na 0.6667 0.3333 0.0000
Na 0.7443 0.0000 0.0000
Pt 0.0000 0.3513 0.5000
Pt 0.3513 0.0000 0.5000
Pt 0.6487 0.6487 0.5000
O 0.0000 0.3887 0.0000
O 0.3887 0.0000 0.0000
O 0.6113 0.6113 0.0000

Record 5
For NaSr3PtO6, a crystal structure in OQMD, relaxed with PBE gives the computed powder X-ray diffraction pattern in this record (a wavelength of 1.5418 Å).
Neutral-atom scattering factors, no anomalous dispersion.

Principal peaks in the range 2θ from 15° to 90°, sorted by position:
2θ/deg	Rel. int.
18.4	22
18.7	91
29.7	53
32.2	100
37.8	25
42.1	31
42.4	34
44.4	35
51.0	25
57.8	22

Structural model:
Lattice parameters (Å, degrees): 6.7661 6.7661 6.7661 90.66 90.66 90.66
Fractional positions:
Na 0.2500 0.2500 0.2500
Na 0.7500 0.7500 0.7500
Sr 0.1094 0.7500 0.3906
Sr 0.2500 0.6094 0.8906
Sr 0.3906 0.1094 0.7500
Sr 0.6094 0.8906 0.2500
Sr 0.7500 0.3906 0.1094
Sr 0.8906 0.2500 0.6094
Pt 0.0000 0.0000 0.0000
Pt 0.5000 0.5000 0.5000
O 0.0560 0.9222 0.7163
O 0.0778 0.2837 0.9440
O 0.2163 0.4222 0.5560
O 0.2837 0.9440 0.0778
O 0.4222 0.5560 0.2163
O 0.4440 0.7837 0.5778
O 0.5560 0.2163 0.4222
O 0.5778 0.4440 0.7837
O 0.7163 0.0560 0.9222
O 0.7837 0.5778 0.4440
O 0.9222 0.7163 0.0560
O 0.9440 0.0778 0.2837

Record 6
For Rb4NaReO6, a crystal structure in OQMD, relaxed with PBE gives the computed powder X-ray diffraction pattern in this record (a wavelength of 1.5418 Å).
Neutral-atom scattering factors, no anomalous dispersion.

Principal peaks in the range 2θ from 15° to 90°, sorted by position:
2θ/deg	Rel. int.
15.7	32
17.2	48
22.2	28
28.7	100
30.9	39
31.8	42
32.7	55
35.8	89
48.7	31
49.9	29

Structural model:
Lattice parameters (Å, degrees): 6.5421 6.5421 6.3376 103.15 103.15 120.32
Fractional positions:
Rb 0.1672 0.8328 0.0000
Rb 0.3248 0.6752 0.5000
Rb 0.6752 0.3248 0.5000
Rb 0.8328 0.1672 0.0000
Na 0.0000 0.0000 0.5000
Re 0.5000 0.5000 0.0000
O 0.1761 0.4134 0.7911
O 0.3321 0.3321 0.1786
O 0.4134 0.1761 0.7911
O 0.5866 0.8239 0.2089
O 0.6679 0.6679 0.8214
O 0.8239 0.5866 0.2089

Record 7
For Rb7NaZn2O6, a crystal structure in OQMD, relaxed with PBE gives the computed powder X-ray diffraction pattern in this record (a wavelength of 1.5418 Å).
Neutral-atom scattering factors, no anomalous dispersion.

Principal peaks in the range 2θ from 15° to 90°, sorted by position:
2θ/deg	Rel. int.
26.8	56
29.8	40
30.5	91
31.1	100
32.2	39
32.4	40
33.0	68
33.7	49
34.4	64
35.7	42

Structural model:
Lattice parameters (Å, degrees): 7.0927 9.3924 11.2422 105.77 91.73 109.15
Fractional positions:
Rb 0.0135 0.3800 0.3165
Rb 0.0234 0.0163 0.3145
Rb 0.0650 0.8394 0.0206
Rb 0.2845 0.5627 0.0911
Rb 0.4499 0.1655 0.5962
Rb 0.4668 0.9847 0.8130
Rb 0.4758 0.6333 0.6319
Rb 0.5242 0.3667 0.3681
Rb 0.5332 0.0153 0.1870
Rb 0.5501 0.8345 0.4038
Rb 0.7155 0.4373 0.9089
Rb 0.9350 0.1606 0.9794
Rb 0.9766 0.9837 0.6855
Rb 0.9865 0.6200 0.6835
Na 0.1965 0.3874 0.7848
Na 0.8035 0.6126 0.2152
Zn 0.0831 0.7547 0.4382
Zn 0.4117 0.2527 0.0583
Zn 0.5883 0.7473 0.9417
Zn 0.9169 0.2453 0.5618
O 0.1573 0.7486 0.2737
O 0.2011 0.3282 0.5532
O 0.2185 0.1813 0.1642
O 0.2753 0.8357 0.5838
O 0.3054 0.6714 0.8793
O 0.3187 0.2448 0.8918
O 0.6813 0.7552 0.1082
O 0.6946 0.3286 0.1207
O 0.7247 0.1643 0.4162
O 0.7815 0.8187 0.8358
O 0.7989 0.6718 0.4468
O 0.8427 0.2514 0.7263